This entry pairs a crystal structure of SrLiAl2B2O7 with its theoretical X-ray diffraction stick pattern. Radiation: Cu Ka. Structure: DFT lattice parameters and positions (GGA-PBE).

Structure:
Cell: 4.938 4.938 8.570 Å, 103.59 103.59 60.57°
Positions (direct):
Sr  0.000  0.000  0.000
Li  0.923  0.077  0.500
Al  0.419  0.433  0.292
Al  0.567  0.581  0.708
B  0.272  0.259  0.790
B  0.741  0.728  0.210
O  0.040  0.480  0.189
O  0.334  0.509  0.810
O  0.491  0.666  0.190
O  0.520  0.960  0.811
O  0.535  0.465  0.500
O  0.696  0.033  0.224
O  0.967  0.304  0.776

Main lines, low angle first (5° ≤ 2θ ≤ 70°):
- d = 8.247 Å, 2θ = 10.73°, I = 100
- d = 4.103 Å, 2θ = 21.66°, I = 29
- d = 4.021 Å, 2θ = 22.11°, I = 41
- d = 3.582 Å, 2θ = 24.85°, I = 55
- d = 3.409 Å, 2θ = 26.14°, I = 34
- d = 3.196 Å, 2θ = 27.92°, I = 27
- d = 2.773 Å, 2θ = 32.29°, I = 48
- d = 2.465 Å, 2θ = 36.45°, I = 28

=====

This entry pairs a crystal structure of LuAlB14 with its theoretical X-ray diffraction stick pattern. Radiation: Cu Ka. Structure: DFT lattice parameters and positions (GGA-PBE).

Structure:
Cell: 7.261 7.261 7.261 Å, 132.00 88.15 111.29°
Positions (direct):
Lu  0.403  0.153  0.250
Lu  0.597  0.847  0.750
Al  0.000  0.000  0.500
Al  0.000  0.500  0.000
B  0.021  0.876  0.145
B  0.032  0.205  0.333
B  0.032  0.699  0.827
B  0.079  0.668  0.410
B  0.201  0.533  0.668
B  0.225  0.500  0.400
B  0.225  0.825  0.724
B  0.231  0.876  0.355
B  0.242  0.332  0.910
B  0.366  0.533  0.832
B  0.372  0.205  0.673
B  0.372  0.699  0.167
B  0.399  0.175  0.900
B  0.399  0.500  0.224
B  0.601  0.500  0.776
B  0.601  0.825  0.100
B  0.628  0.301  0.833
B  0.628  0.795  0.327
B  0.634  0.467  0.168
B  0.758  0.668  0.090
B  0.769  0.124  0.645
B  0.775  0.175  0.276
B  0.775  0.500  0.600
B  0.799  0.467  0.332
B  0.921  0.332  0.590
B  0.968  0.301  0.173
B  0.968  0.795  0.667
B  0.979  0.124  0.855

Main lines, low angle first (5° ≤ 2θ ≤ 70°):
- d = 6.444 Å, 2θ = 13.74°, I = 97
- d = 5.217 Å, 2θ = 17.00°, I = 72
- d = 3.529 Å, 2θ = 25.24°, I = 51
- d = 3.203 Å, 2θ = 27.85°, I = 100
- d = 2.685 Å, 2θ = 33.37°, I = 55
- d = 2.419 Å, 2θ = 37.17°, I = 48
- d = 2.239 Å, 2θ = 40.28°, I = 51
- d = 2.171 Å, 2θ = 41.61°, I = 44

=====

This entry pairs a crystal structure of Mg2AlB10 with its theoretical X-ray diffraction stick pattern. Radiation: Cu Ka. Structure: DFT lattice parameters and positions (GGA-PBE).

Structure:
Cell: 5.965 10.737 4.175 Å, 90.00 90.00 90.00°
Positions (direct):
Mg  0.115  0.154  0.000
Mg  0.385  0.654  0.000
Mg  0.615  0.346  0.000
Mg  0.885  0.846  0.000
Al  0.000  0.500  0.500
Al  0.500  0.000  0.500
B  0.062  0.304  0.500
B  0.121  0.961  0.500
B  0.145  0.799  0.500
B  0.221  0.382  0.199
B  0.221  0.382  0.801
B  0.279  0.882  0.199
B  0.279  0.882  0.801
B  0.355  0.299  0.500
B  0.379  0.461  0.500
B  0.438  0.804  0.500
B  0.562  0.196  0.500
B  0.621  0.539  0.500
B  0.645  0.701  0.500
B  0.721  0.118  0.199
B  0.721  0.118  0.801
B  0.779  0.618  0.199
B  0.779  0.618  0.801
B  0.855  0.201  0.500
B  0.879  0.039  0.500
B  0.938  0.696  0.500

Main lines, low angle first (5° ≤ 2θ ≤ 70°):
- d = 3.259 Å, 2θ = 27.37°, I = 95
- d = 3.069 Å, 2θ = 29.10°, I = 62
- d = 2.885 Å, 2θ = 31.00°, I = 73
- d = 2.874 Å, 2θ = 31.12°, I = 42
- d = 2.367 Å, 2θ = 38.01°, I = 75
- d = 2.258 Å, 2θ = 39.93°, I = 100
- d = 2.088 Å, 2θ = 43.34°, I = 46
- d = 1.702 Å, 2θ = 53.85°, I = 38